Entry 1:
# SbTe2PtI
Theoretical X-ray powder pattern, Cu Kα X-rays. Input: the GGA-PBE geometry in Alexandria.
Lines closer than 0.1° are merged.

Structural model:
Unit cell a=5.4039 b=5.4039 c=5.3091 alpha=90.00 beta=90.00 gamma=90.00
Space group P4/mmm (No. 123)
Symmetry-distinct sites (fractional):
Sb: 0.0000 0.0000 0.0000 x1
Te: 0.0000 0.5000 0.5000 x2
Pt: 0.0000 0.0000 0.5000 x1
I: 0.5000 0.5000 0.0000 x1

The 12 most intense peaks (10 to 80 degrees two-theta), in order of rising 2θ:
(1 0 0), 2θ = 16.40°, intensity 40.4; (0 0 1), 2θ = 16.70°, intensity 20.7; (1 1 0), 2θ = 23.28°, intensity 18.7; (1 0 1), 2θ = 23.49°, intensity 38.9; (1 1 1), 2θ = 28.79°, intensity 57.2; (2 0 0), 2θ = 33.16°, intensity 100.0; (0 0 2), 2θ = 33.77°, intensity 47.6; (2 1 1), 2θ = 41.04°, intensity 18.2; (2 2 0), 2θ = 47.60°, intensity 36.2; (2 0 2), 2θ = 48.05°, intensity 70.4; (3 1 1), 2θ = 56.58°, intensity 16.2; (2 2 2), 2θ = 59.62°, intensity 36.8

Entry 2:
# Nd2Mg3Ga4
Theoretical X-ray powder pattern, Cu Kα X-rays. Input: the GGA-PBE geometry in Alexandria.
Lines closer than 0.1° are merged.

Structural model:
Unit cell a=6.1534 b=16.5986 c=7.8496 alpha=90.00 beta=90.00 gamma=90.00
Space group Cmce (No. 64)
Symmetry-distinct sites (fractional):
Nd: 0.0000 0.0996 0.0958 x8
Mg: 0.0000 0.0000 0.5000 x4
Mg: 0.2500 0.2334 0.7500 x8
Ga: 0.0000 0.1673 0.4805 x8
Ga: 0.2500 0.0658 0.7500 x8

The 12 most intense peaks (10 to 80 degrees two-theta), in order of rising 2θ:
(1 1 1), 2θ = 19.09°, intensity 28.8; (0 4 0), 2θ = 21.41°, intensity 36.6; (1 3 2), 2θ = 31.50°, intensity 63.4; (1 5 1), 2θ = 32.71°, intensity 100.0; (2 2 1), 2θ = 33.08°, intensity 70.7; (0 2 3), 2θ = 35.99°, intensity 62.3; (2 4 0), 2θ = 36.35°, intensity 31.9; (2 0 2), 2θ = 37.13°, intensity 68.2; (2 4 1), 2θ = 38.18°, intensity 24.5; (1 7 2), 2θ = 47.15°, intensity 25.6; (3 5 1), 2θ = 53.82°, intensity 24.1; (2 6 4), 2θ = 65.77°, intensity 26.7

Entry 3:
# RbTl10Sn2
Theoretical X-ray powder pattern, Cu Kα X-rays. Input: the GGA-PBE geometry in Alexandria.
Lines closer than 0.1° are merged.

Structural model:
Unit cell a=6.4914 b=15.8371 c=16.6463 alpha=90.00 beta=90.00 gamma=90.00
Space group Fmmm (No. 69)
Symmetry-distinct sites (fractional):
Rb: 0.0000 0.0000 0.0000 x4
Tl: 0.0000 0.1058 0.3892 x16
Tl: 0.0000 0.1756 0.1803 x16
Tl: 0.2500 0.2500 0.0000 x8
Sn: 0.2500 0.0000 0.2500 x8

The 12 most intense peaks (10 to 80 degrees two-theta), in order of rising 2θ:
(1 3 3), 2θ = 27.06°, intensity 54.8; (1 1 5), 2θ = 30.70°, intensity 79.8; (0 4 4), 2θ = 31.18°, intensity 83.6; (2 2 2), 2θ = 31.67°, intensity 88.8; (1 5 1), 2θ = 31.89°, intensity 66.7; (0 2 6), 2θ = 34.25°, intensity 36.1; (1 3 5), 2θ = 34.72°, intensity 45.6; (2 0 4), 2θ = 35.06°, intensity 62.6; (1 5 3), 2θ = 35.44°, intensity 42.7; (2 4 0), 2θ = 35.74°, intensity 100.0; (2 6 6), 2θ = 55.80°, intensity 44.1; (4 0 0), 2θ = 56.70°, intensity 40.6

Entry 4:
# RbDyBeF6
Theoretical X-ray powder pattern, Cu Kα X-rays. Input: the GGA-PBE geometry in Alexandria.
Lines closer than 0.1° are merged.

Structural model:
Unit cell a=6.5545 b=5.8803 c=7.3491 alpha=90.00 beta=114.05 gamma=90.00
Space group P2_1/m (No. 11)
Symmetry-distinct sites (fractional):
Rb: 0.0862 0.2500 0.2142 x2
Dy: 0.3958 0.2500 0.8228 x2
Be: 0.2311 0.7500 0.4641 x2
F: 0.0022 0.2500 0.7187 x2
F: 0.2510 0.5342 0.5949 x4
F: 0.3204 0.5014 0.0242 x4
F: 0.4161 0.7500 0.3836 x2

The 12 most intense peaks (10 to 80 degrees two-theta), in order of rising 2θ:
(1 0 -1), 2θ = 15.30°, intensity 34.1; (0 1 1), 2θ = 20.08°, intensity 28.9; (1 1 0), 2θ = 21.18°, intensity 42.0; (1 1 -1), 2θ = 21.54°, intensity 32.1; (2 0 -1), 2θ = 27.24°, intensity 44.1; (1 1 1), 2θ = 28.12°, intensity 100.0; (1 1 -2), 2θ = 28.94°, intensity 80.1; (0 2 0), 2θ = 30.40°, intensity 30.1; (0 2 2), 2θ = 40.81°, intensity 31.9; (2 2 -1), 2θ = 41.27°, intensity 27.9; (2 0 2), 2θ = 48.33°, intensity 21.8; (1 3 1), 2θ = 52.64°, intensity 26.1

Entry 5:
# Ba4PrYCu6O14
Theoretical X-ray powder pattern, Cu Kα X-rays. Input: the GGA-PBE geometry in Alexandria.
Lines closer than 0.1° are merged.

Structural model:
Unit cell a=3.8712 b=7.8748 c=11.8813 alpha=90.00 beta=90.00 gamma=90.00
Space group Pmmm (No. 47)
Symmetry-distinct sites (fractional):
Ba: 0.0000 0.0000 0.1787 x2
Ba: 0.0000 0.5000 0.1799 x2
Pr: 0.0000 0.0000 0.5000 x1
Y: 0.0000 0.5000 0.5000 x1
Cu: 0.5000 0.2504 0.0000 x2
Cu: 0.5000 0.2528 0.3488 x4
O: 0.0000 0.2579 0.3754 x4
O: 0.5000 0.0000 0.0000 x1
O: 0.5000 0.0000 0.3693 x2
O: 0.5000 0.2507 0.1579 x4
O: 0.5000 0.5000 0.0000 x1
O: 0.5000 0.5000 0.3793 x2

The 12 most intense peaks (10 to 80 degrees two-theta), in order of rising 2θ:
(0 2 3), 2θ = 32.05°, intensity 46.9; (1 0 3), 2θ = 32.38°, intensity 100.0; (1 2 3), 2θ = 39.80°, intensity 13.0; (0 0 6), 2θ = 45.82°, intensity 10.4; (0 4 0), 2θ = 46.11°, intensity 14.7; (2 0 0), 2θ = 46.94°, intensity 13.9; (1 2 6), 2θ = 57.26°, intensity 18.8; (1 4 3), 2θ = 57.44°, intensity 19.6; (2 2 3), 2θ = 57.97°, intensity 17.2; (0 4 6), 2θ = 67.03°, intensity 6.3; (2 4 0), 2θ = 67.91°, intensity 8.5; (3 0 3), 2θ = 77.88°, intensity 7.8

Entry 6:
# Pm6DyTm
Theoretical X-ray powder pattern, Cu Kα X-rays. Input: the GGA-PBE geometry in Alexandria.
Lines closer than 0.1° are merged.

Structural model:
Unit cell a=7.2694 b=10.1747 c=14.4685 alpha=90.00 beta=90.00 gamma=90.00
Space group Fmmm (No. 69)
Symmetry-distinct sites (fractional):
Pm: 0.0000 0.0000 0.2504 x8
Pm: 0.2500 0.2500 0.1237 x16
Dy: 0.0000 0.0000 0.0000 x4
Tm: 0.0000 0.0000 0.5000 x4

The 12 most intense peaks (10 to 80 degrees two-theta), in order of rising 2θ:
(2 2 0), 2θ = 30.27°, intensity 100.0; (2 0 4), 2θ = 35.00°, intensity 34.0; (0 4 0), 2θ = 35.28°, intensity 16.6; (4 0 0), 2θ = 50.20°, intensity 6.1; (2 4 4), 2θ = 50.53°, intensity 30.1; (4 2 4), 2θ = 59.78°, intensity 14.5; (2 2 8), 2θ = 59.95°, intensity 14.4; (2 6 0), 2θ = 60.25°, intensity 14.2; (4 4 0), 2θ = 62.84°, intensity 6.2; (0 4 8), 2θ = 63.07°, intensity 6.2; (4 0 8), 2θ = 73.94°, intensity 3.9; (0 8 0), 2θ = 74.62°, intensity 1.9

Entry 7:
# LaInGa
Theoretical X-ray powder pattern, Cu Kα X-rays. Input: the GGA-PBE geometry in Alexandria.
Lines closer than 0.1° are merged.

Structural model:
Unit cell a=4.7716 b=8.0279 c=8.2059 alpha=90.00 beta=90.00 gamma=90.00
Space group Imma (No. 74)
Symmetry-distinct sites (fractional):
La: 0.0000 0.0000 0.0000 x4
In: 0.0000 0.2500 0.3463 x4
Ga: 0.0000 0.2500 0.6812 x4

The 12 most intense peaks (10 to 80 degrees two-theta), in order of rising 2θ:
(1 2 1), 2θ = 31.12°, intensity 100.0; (2 0 0), 2θ = 37.70°, intensity 19.8; (1 0 3), 2θ = 37.91°, intensity 37.6; (0 4 0), 2θ = 45.18°, intensity 11.8; (2 2 2), 2θ = 49.70°, intensity 16.9; (0 2 4), 2θ = 49.93°, intensity 9.1; (2 4 0), 2θ = 60.26°, intensity 9.8; (1 4 3), 2θ = 60.41°, intensity 18.7; (3 2 1), 2θ = 63.98°, intensity 8.4; (2 2 4), 2θ = 64.22°, intensity 8.5; (1 2 5), 2θ = 64.36°, intensity 6.7; (1 6 1), 2θ = 74.58°, intensity 7.8

Entry 8:
# TaTi2Zn
Theoretical X-ray powder pattern, Cu Kα X-rays. Input: the GGA-PBE geometry in Alexandria.
Lines closer than 0.1° are merged.

Structural model:
Unit cell a=4.2420 b=3.7675 c=8.4318 alpha=90.00 beta=93.47 gamma=90.00
Space group C2/m (No. 12)
Symmetry-distinct sites (fractional):
Ta: 0.0000 0.0000 0.0000 x2
Ti: 0.0263 0.5000 0.7402 x4
Zn: 0.0000 0.0000 0.5000 x2

The 12 most intense peaks (10 to 80 degrees two-theta), in order of rising 2θ:
(0 0 1), 2θ = 10.51°, intensity 86.5; (0 0 2), 2θ = 21.11°, intensity 43.5; (1 1 0), 2θ = 31.79°, intensity 33.0; (1 1 -1), 2θ = 33.15°, intensity 20.0; (1 1 -2), 2θ = 37.73°, intensity 100.0; (1 1 2), 2θ = 39.22°, intensity 91.6; (2 0 0), 2θ = 42.71°, intensity 34.8; (0 0 4), 2θ = 42.99°, intensity 34.6; (0 2 0), 2θ = 48.32°, intensity 24.8; (1 1 -4), 2θ = 53.29°, intensity 17.2; (2 2 0), 2θ = 66.43°, intensity 17.9; (0 2 4), 2θ = 66.64°, intensity 20.3

Entry 9:
# Sr4As3
Theoretical X-ray powder pattern, Cu Kα X-rays. Input: the GGA-PBE geometry in Alexandria.
Lines closer than 0.1° are merged.

Structural model:
Unit cell a=12.2672 b=12.9247 c=11.0399 alpha=90.00 beta=90.00 gamma=90.00
Space group Pbam (No. 55)
Symmetry-distinct sites (fractional):
Sr: 0.0000 0.0000 0.1834 x4
Sr: 0.0965 0.2644 0.2761 x8
Sr: 0.1020 0.7063 0.0000 x4
Sr: 0.1234 0.8683 0.5000 x4
Sr: 0.1732 0.5677 0.3229 x8
Sr: 0.2263 0.4233 0.0000 x4
As: 0.0000 0.5000 0.1167 x4
As: 0.0384 0.4079 0.5000 x4
As: 0.1363 0.1142 0.5000 x4
As: 0.1395 0.1421 0.0000 x4
As: 0.1616 0.8225 0.2339 x8

The 12 most intense peaks (10 to 80 degrees two-theta), in order of rising 2θ:
(3 2 1), 2θ = 27.04°, intensity 34.8; (3 1 2), 2θ = 28.02°, intensity 35.8; (2 0 3), 2θ = 28.28°, intensity 29.3; (0 4 1), 2θ = 28.82°, intensity 31.8; (2 3 2), 2θ = 30.09°, intensity 100.0; (2 2 3), 2θ = 31.55°, intensity 49.0; (0 4 2), 2θ = 32.10°, intensity 40.4; (4 2 0), 2θ = 32.32°, intensity 55.5; (0 0 4), 2θ = 32.44°, intensity 44.4; (1 4 2), 2θ = 32.94°, intensity 63.0; (3 1 3), 2θ = 33.49°, intensity 30.1; (4 1 2), 2θ = 34.16°, intensity 40.5

Entry 10:
# K2DyVS4
Theoretical X-ray powder pattern, Cu Kα X-rays. Input: the GGA-PBE geometry in Alexandria.
Lines closer than 0.1° are merged.

Structural model:
Unit cell a=7.1251 b=7.1251 c=9.5298 alpha=90.00 beta=90.00 gamma=90.00
Space group I-4 (No. 82)
Symmetry-distinct sites (fractional):
K: 0.0000 0.0000 0.0000 x2
K: 0.0000 0.5000 0.2500 x2
Dy: 0.0000 0.5000 0.7500 x2
V: 0.0000 0.0000 0.5000 x2
S: 0.1684 0.2303 0.6155 x8

The 12 most intense peaks (10 to 80 degrees two-theta), in order of rising 2θ:
(1 0 1), 2θ = 15.53°, intensity 63.8; (1 1 0), 2θ = 17.60°, intensity 11.6; (2 0 0), 2θ = 24.99°, intensity 19.3; (1 1 2), 2θ = 25.73°, intensity 100.0; (2 1 1), 2θ = 29.56°, intensity 18.7; (2 0 2), 2θ = 31.35°, intensity 9.2; (2 2 0), 2θ = 35.64°, intensity 26.7; (1 2 3), 2θ = 40.06°, intensity 20.9; (1 3 2), 2θ = 44.48°, intensity 37.7; (2 0 4), 2θ = 45.82°, intensity 29.3; (3 2 1), 2θ = 46.96°, intensity 11.7; (5 1 2), 2θ = 70.19°, intensity 9.1

Entry 11:
# Tm2PaP3Rh12
Theoretical X-ray powder pattern, Cu Kα X-rays. Input: the GGA-PBE geometry in Alexandria.
Lines closer than 0.1° are merged.

Structural model:
Unit cell a=8.8467 b=8.8467 c=13.0014 alpha=90.00 beta=90.00 gamma=120.00
Space group R-3m (No. 166, hexagonal axes)
Symmetry-distinct sites (fractional):
Tm: 0.0000 0.0000 0.1228 x6
Pa: 0.0000 0.0000 0.5000 x3
P: 0.0000 0.5000 0.0000 x9
Rh: 0.0103 0.5051 0.8258 x18
Rh: 0.0293 0.5146 0.3815 x18

The 12 most intense peaks (10 to 80 degrees two-theta), in order of rising 2θ:
(0 0 3), 2θ = 20.49°, intensity 20.1; (1 1 3), 2θ = 28.84°, intensity 23.3; (1 2 2), 2θ = 33.89°, intensity 24.8; (0 2 4), 2θ = 36.25°, intensity 28.1; (0 1 5), 2θ = 36.49°, intensity 29.3; (2 2 0), 2θ = 40.80°, intensity 100.0; (3 0 3), 2θ = 41.02°, intensity 11.9; (2 2 3), 2θ = 46.08°, intensity 16.7; (1 2 5), 2θ = 46.96°, intensity 23.9; (3 1 5), 2θ = 55.88°, intensity 14.8; (2 3 5), 2θ = 63.93°, intensity 13.2; (6 0 0), 2θ = 74.28°, intensity 15.9

Entry 12:
# ZrAlPt
Theoretical X-ray powder pattern, Cu Kα X-rays. Input: the GGA-PBE geometry in Alexandria.
Lines closer than 0.1° are merged.

Structural model:
Unit cell a=7.1061 b=7.1061 c=7.3967 alpha=90.00 beta=90.00 gamma=120.00
Space group P-62c (No. 190)
Symmetry-distinct sites (fractional):
Zr: 0.0200 0.4144 0.2500 x6
Al: 0.0000 0.7431 0.0000 x6
Pt: 0.0000 0.0000 0.2500 x2
Pt: 0.3333 0.6667 0.5273 x4

The 12 most intense peaks (10 to 80 degrees two-theta), in order of rising 2θ:
(1 1 0), 2θ = 25.06°, intensity 94.6; (1 0 2), 2θ = 28.15°, intensity 57.9; (1 1 2), 2θ = 35.02°, intensity 51.7; (2 0 2), 2θ = 38.04°, intensity 100.0; (3 0 0), 2θ = 44.15°, intensity 58.1; (2 1 2), 2θ = 46.10°, intensity 56.1; (0 0 4), 2θ = 49.28°, intensity 18.5; (2 2 0), 2θ = 51.44°, intensity 20.9; (3 1 2), 2θ = 59.66°, intensity 15.6; (3 0 4), 2θ = 68.29°, intensity 24.8; (4 1 0), 2θ = 70.07°, intensity 17.3; (3 2 2), 2θ = 71.53°, intensity 30.3